Structure and simulated PXRD pattern of BaMgCr4O8 (a GGA+U-relaxed structure; CuKα).

Structure:
```
data_BaMgCr4O8
_cell_length_a 5.408
_cell_length_b 5.408
_cell_length_c 7.331
_cell_angle_alpha 90.00
_cell_angle_beta 90.00
_cell_angle_gamma 120.00
_symmetry_space_group_name_H-M 'P 1'
_symmetry_Int_Tables_number 1
_symmetry_space_group_name_Hall 'P 1'
loop_
_atom_site_label
_atom_site_type_symbol
_atom_site_fract_x
_atom_site_fract_y
_atom_site_fract_z
Ba1 Ba 0.000 0.000 0.000
Mg1 Mg 0.000 0.000 0.500
Cr1 Cr 0.333 0.667 0.259
Cr2 Cr 0.333 0.667 0.741
Cr3 Cr 0.667 0.333 0.259
Cr4 Cr 0.667 0.333 0.741
O1 O 0.000 0.314 0.323
O2 O 0.000 0.686 0.677
O3 O 0.314 0.000 0.323
O4 O 0.314 0.314 0.677
O5 O 0.333 0.667 0.000
O6 O 0.667 0.333 0.000
O7 O 0.686 0.000 0.677
O8 O 0.686 0.686 0.323
```

Principal peaks in the range 10 to 90 degrees two-theta, in order of rising 2θ:
2θ (°), intensity, (hkl)
30.98, 100, 1 0 2
33.13, 90, 1 1 0
35.38, 33, 2 -1 1
45.99, 36, 2 0 2
57.84, 34, 2 1 2
61.08, 37, 2 -1 4